[1]
Diffraction record for VNi2. The XRD peak list is calculated, not measured: it uses a DFT-relaxed cell (GGA-PBE, the Materials Project) and Cu Kα X-rays.

Largest 10 diffraction maxima, most intense first, 2θ from 10° to 90°:
index  2theta  d/Å  intensity
0 1 3  43.82  2.066  100
1 1 0  43.94  2.061  99
1 0 3  51.12  1.787  92
1 2 3  75.19  1.264  35
0 0 6  75.06  1.266  9
2 0 0  75.39  1.261  9
0 0 2  23.43  3.797  2
0 1 1  27.57  3.235  2
1 1 2  50.39  1.811  1
1 0 1  37.59  2.393  1

Cell and atoms:
```
data_VNi2
_space_group_name_H-M_alt 'I m m m'
_space_group_IT_number 71
_space_group_name_Hall '-I 2 2'
_cell_length_a 2.522
_cell_length_b 3.576
_cell_length_c 7.593
_cell_angle_alpha 90.00
_cell_angle_beta 90.00
_cell_angle_gamma 90.00
loop_
_atom_site_label
_atom_site_fract_x
_atom_site_fract_y
_atom_site_fract_z
_atom_site_occupancy
V1 0.000 0.000 0.000 1
Ni1 0.000 0.000 0.332 1
```

=====

[2]
Diffraction record for Te3Se. The XRD peak list is calculated, not measured: it uses a DFT-relaxed cell (GGA-PBE, the Materials Project) and Cu Kα X-rays.

Largest 10 diffraction maxima, most intense first, 2θ from 10° to 90°:
index  2theta  d/Å  intensity
2 0 1  33.57  2.669  100
2 0 0  26.18  3.404  32
2 2 0  46.20  1.965  27
4 0 1  58.31  1.582  20
2 2 2  64.20  1.451  20
4 2 1  77.44  1.232  17
0 0 2  42.00  2.151  12
2 0 3  71.37  1.322  11
2 0 2  50.17  1.818  11
4 0 3  89.34  1.097  6

Cell and atoms:
```
data_Te3Se
_space_group_name_H-M_alt 'P 63/m m c'
_space_group_IT_number 194
_space_group_name_Hall '-P 6c 2c'
_cell_length_a 7.8601
_cell_length_b 7.8601
_cell_length_c 4.3022
_cell_angle_alpha 90.00
_cell_angle_beta 90.00
_cell_angle_gamma 120.00
loop_
_atom_site_label
_atom_site_fract_x
_atom_site_fract_y
_atom_site_fract_z
_atom_site_occupancy
Te1 0.1713 0.3425 0.2500 1
Se1 0.3333 0.6667 0.7500 1
```